Structure and computed X-ray diffraction stick pattern of Li2MnCrO4 (a DFT-relaxed cell (PBE+U, the Materials Project); copper Kα).

Crystal structure
```
16
Lattice="4.793 -2.058 0.000 4.793 2.058 0.000 -3.524 0.000 7.437" Properties=species:S:1:pos:R:3 pbc="T T T"
Li 0.000 0.000 0.000
Li -1.750 0.000 3.717
Li -0.696 0.000 6.514
Li 1.105 0.000 2.788
Mn 6.729 0.000 0.917
Mn 5.014 0.000 4.664
Cr 3.907 0.000 1.857
Cr 2.167 0.000 5.579
O 2.087 0.000 0.994
O 0.341 0.000 4.710
O 4.924 0.000 0.059
O 3.166 0.000 3.772
O 5.760 0.000 2.642
O 3.949 0.000 6.521
O 8.539 0.000 1.776
O 6.847 0.000 5.528
```

The 12 most intense peaks (15 to 90 degrees two-theta), sorted by position:
2θ (°)	Rel. int.
23.9	100
37.2	16
38.1	11
41.7	29
44.0	52
50.7	22
57.7	11
59.6	6
62.2	29
64.0	14
75.3	8
79.3	13